1.
The following is a simulated powder diffractogram of Ce8HPb4. It was derived from a PBE-relaxed structure, using λ = 1.5418 Å (Cu Kα).
Peak positions follow from Bragg's law for the DFT cell and can differ from measured ones.

```
data_Ce8HPb4
_chemical_formula_sum 'Ce8 H1 Pb4'
_space_group_name_H-M_alt 'P m m 2'
_space_group_IT_number 25
_cell_length_a 4.513
_cell_length_b 4.758
_cell_length_c 16.456
_cell_angle_alpha 90.00
_cell_angle_beta 90.00
_cell_angle_gamma 90.00
loop_
_space_group_symop_operation_xyz
'x,y,z'
'-x,-y,z'
'-x,y,z'
'x,-y,z'
loop_
_atom_site_label
_atom_site_fract_x
_atom_site_fract_y
_atom_site_fract_z
Ce1 0.000 0.000 0.000
Ce2 0.000 0.000 0.311
Ce3 0.000 0.500 0.184
Ce4 0.000 0.500 0.501
Ce5 0.500 0.000 0.501
Ce6 0.500 0.000 0.816
Ce7 0.500 0.500 0.000
Ce8 0.500 0.500 0.685
H1 0.000 0.000 0.455
Pb1 0.000 0.000 0.651
Pb2 0.000 0.500 0.851
Pb3 0.500 0.000 0.148
Pb4 0.500 0.500 0.351
```

Main lines, in order of rising 2θ (2θ from 10° to 90°):
- hkl 1 1 3, 2θ 31.8, d 2.811, intensity 100.0
- hkl 0 0 6, 2θ 32.6, d 2.743, intensity 18.0
- hkl 0 2 0, 2θ 37.8, d 2.378, intensity 24.0
- hkl 2 0 0, 2θ 40.0, d 2.256, intensity 14.8
- hkl 0 2 6, 2θ 50.8, d 1.797, intensity 10.5
- hkl 2 0 6, 2θ 52.5, d 1.742, intensity 9.5
- hkl 2 2 0, 2θ 56.2, d 1.637, intensity 15.4
- hkl 1 3 3, 2θ 64.6, d 1.444, intensity 13.3
- hkl 2 2 6, 2θ 66.5, d 1.406, intensity 9.4
- hkl 3 1 3, 2θ 67.5, d 1.388, intensity 11.7

***

2.
The following is a simulated powder diffractogram of Ho2B4O9. It was derived from a PBE-relaxed structure, using λ = 1.5418 Å (Cu Kα).
Peak positions follow from Bragg's law for the DFT cell and can differ from measured ones.

```
data_Ho2B4O9
_chemical_formula_sum 'Ho4 B8 O18'
_space_group_name_H-M_alt 'P -1'
_space_group_IT_number 2
_cell_length_a 6.181
_cell_length_b 6.443
_cell_length_c 7.489
_cell_angle_alpha 102.36
_cell_angle_beta 97.21
_cell_angle_gamma 102.33
loop_
_space_group_symop_operation_xyz
'x,y,z'
'-x,-y,-z'
loop_
_atom_site_label
_atom_site_fract_x
_atom_site_fract_y
_atom_site_fract_z
Ho1 0.050 0.090 0.287
Ho2 0.386 0.675 0.358
B1 0.127 0.357 0.651
B2 0.161 0.682 0.926
B3 0.231 0.334 0.982
B4 0.495 0.145 0.191
O1 0.005 0.791 0.019
O2 0.039 0.537 0.747
O3 0.079 0.817 0.446
O4 0.264 0.263 0.789
O5 0.274 0.572 0.041
O6 0.282 0.405 0.522
O7 0.311 0.868 0.877
O8 0.361 0.283 0.144
O9 0.429 0.041 0.324
```

Main lines, in order of rising 2θ (2θ from 10° to 90°):
- hkl 0 0 1, 2θ 12.3, d 7.197, intensity 45.0
- hkl 1 0 -1, 2θ 17.6, d 5.047, intensity 44.9
- hkl 1 1 0, 2θ 23.4, d 3.809, intensity 45.1
- hkl 1 0 -2, 2θ 26.6, d 3.356, intensity 38.0
- hkl 0 2 -1, 2θ 28.8, d 3.097, intensity 49.0
- hkl 1 1 1, 2θ 29.3, d 3.044, intensity 41.9
- hkl 1 -2 0, 2θ 29.4, d 3.035, intensity 28.1
- hkl 2 -1 0, 2θ 30.0, d 2.976, intensity 100.0
- hkl 0 1 2, 2θ 31.9, d 2.809, intensity 34.3
- hkl 2 1 -1, 2θ 35.8, d 2.509, intensity 30.5

***

3.
The following is a simulated powder diffractogram of Pr2HPd6. It was derived from a PBE-relaxed structure, using λ = 1.5418 Å (Cu Kα).
Peak positions follow from Bragg's law for the DFT cell and can differ from measured ones.

```
data_Pr2HPd6
_chemical_formula_sum 'Pr4 H2 Pd12'
_space_group_name_H-M_alt 'I 4/m m m'
_space_group_IT_number 139
_space_group_name_Hall '-I 4 2'
_cell_length_a 5.978
_cell_length_b 5.978
_cell_length_c 8.486
_cell_angle_alpha 90.00
_cell_angle_beta 90.00
_cell_angle_gamma 90.00
loop_
_atom_site_label
_atom_site_fract_x
_atom_site_fract_y
_atom_site_fract_z
Pr1 0.000 0.500 0.250
H1 0.000 0.000 0.000
Pd1 0.000 0.000 0.251
Pd2 0.249 0.249 0.500
```

Main lines, in order of rising 2θ (2θ from 10° to 90°):
- hkl 1 1 0, 2θ 21.0, d 4.232, intensity 1.4
- hkl 2 0 0, 2θ 29.9, d 2.993, intensity 1.4
- hkl 2 0 2, 2θ 36.8, d 2.443, intensity 100.0
- hkl 0 0 4, 2θ 42.6, d 2.121, intensity 16.6
- hkl 2 2 0, 2θ 42.8, d 2.113, intensity 32.8
- hkl 2 2 4, 2θ 62.0, d 1.497, intensity 21.5
- hkl 4 0 0, 2θ 62.1, d 1.494, intensity 10.7
- hkl 2 0 6, 2θ 74.2, d 1.278, intensity 12.5
- hkl 4 2 2, 2θ 74.4, d 1.275, intensity 24.7
- hkl 4 0 4, 2θ 78.2, d 1.222, intensity 10.8

***

4.
The following is a simulated powder diffractogram of Pm2Sm2Th15. It was derived from a PBE-relaxed structure, using λ = 1.5418 Å (Cu Kα).
Peak positions follow from Bragg's law for the DFT cell and can differ from measured ones.

```
data_Pm2Sm2Th15
_chemical_formula_sum 'Pm6 Sm6 Th45'
_space_group_name_H-M_alt 'R -3 m'
_space_group_IT_number 166
_space_group_name_Hall '-R 3 2"'
_cell_length_a 11.5325
_cell_length_b 11.5325
_cell_length_c 17.1639
_cell_angle_alpha 90.00
_cell_angle_beta 90.00
_cell_angle_gamma 120.00
loop_
_atom_site_label
_atom_site_fract_x
_atom_site_fract_y
_atom_site_fract_z
Pm1 0.0000 0.0000 0.1029
Sm1 0.0000 0.0000 0.3512
Th1 0.0000 0.3105 0.0000
Th2 0.0000 0.5000 0.5000
Th3 0.0146 0.5073 0.1649
```

Main lines, in order of rising 2θ (2θ from 10° to 90°):
- hkl 1 1 0, 2θ 15.4, d 5.766, intensity 21.0
- hkl 3 0 0, 2θ 26.8, d 3.329, intensity 15.9
- hkl 0 3 3, 2θ 31.1, d 2.879, intensity 100.0
- hkl 0 0 6, 2θ 31.3, d 2.861, intensity 29.1
- hkl 2 2 3, 2θ 34.8, d 2.575, intensity 68.5
- hkl 1 1 6, 2θ 35.0, d 2.563, intensity 19.4
- hkl 3 3 3, 2θ 50.1, d 1.822, intensity 15.0
- hkl 6 0 0, 2θ 55.2, d 1.665, intensity 20.1
- hkl 0 3 9, 2θ 55.5, d 1.655, intensity 20.8
- hkl 6 0 6, 2θ 64.8, d 1.439, intensity 17.6

***

5.
The following is a simulated powder diffractogram of Zr2Si4Ni5. It was derived from a PBE-relaxed structure, using λ = 1.5418 Å (Cu Kα).
Peak positions follow from Bragg's law for the DFT cell and can differ from measured ones.

```
data_Zr2Si4Ni5
_chemical_formula_sum 'Zr8 Si16 Ni20'
_space_group_name_H-M_alt 'F m m m'
_space_group_IT_number 69
_space_group_name_Hall '-F 2 2'
_cell_length_a 5.129
_cell_length_b 8.781
_cell_length_c 13.559
_cell_angle_alpha 90.00
_cell_angle_beta 90.00
_cell_angle_gamma 90.00
loop_
_atom_site_label
_atom_site_fract_x
_atom_site_fract_y
_atom_site_fract_z
Zr1 0.000 0.000 0.140
Si1 0.000 0.147 0.367
Ni1 0.000 0.000 0.500
Ni2 0.250 0.250 0.000
Ni3 0.250 0.250 0.250
```

Main lines, in order of rising 2θ (2θ from 10° to 90°):
- hkl 1 1 3, 2θ 28.2, d 3.163, intensity 38.2
- hkl 0 2 4, 2θ 33.4, d 2.683, intensity 46.5
- hkl 1 3 1, 2θ 35.9, d 2.499, intensity 10.3
- hkl 2 2 0, 2θ 40.7, d 2.215, intensity 100.0
- hkl 0 4 0, 2θ 41.1, d 2.195, intensity 19.6
- hkl 2 0 4, 2θ 44.3, d 2.045, intensity 41.7
- hkl 2 2 4, 2θ 49.1, d 1.854, intensity 16.8
- hkl 0 0 8, 2θ 54.1, d 1.695, intensity 19.4
- hkl 2 2 8, 2θ 69.9, d 1.346, intensity 15.7
- hkl 2 6 0, 2θ 74.7, d 1.271, intensity 12.6

***

6.
The following is a simulated powder diffractogram of Ti6Au2O. It was derived from a PBE-relaxed structure, using λ = 1.5418 Å (Cu Kα).
Peak positions follow from Bragg's law for the DFT cell and can differ from measured ones.

```
data_Ti6Au2O
_chemical_formula_sum 'Ti12 Au4 O2'
_space_group_name_H-M_alt 'A m m 2'
_space_group_IT_number 38
_cell_length_a 2.995
_cell_length_b 12.798
_cell_length_c 7.362
_cell_angle_alpha 90.00
_cell_angle_beta 90.00
_cell_angle_gamma 90.00
loop_
_space_group_symop_operation_xyz
'x,y,z'
'-x,-y,z'
'-x,y,z'
'x,-y,z'
'x,y+1/2,z+1/2'
'-x,-y+1/2,z+1/2'
'-x,y+1/2,z+1/2'
'x,-y+1/2,z+1/2'
loop_
_atom_site_label
_atom_site_fract_x
_atom_site_fract_y
_atom_site_fract_z
Ti1 0.000 0.000 0.000
Ti2 0.000 0.107 0.643
Ti3 0.500 0.000 0.325
Ti4 0.500 0.181 0.951
Au1 0.000 0.175 0.266
O1 0.500 0.000 0.792
```

Main lines, in order of rising 2θ (2θ from 10° to 90°):
- hkl 0 2 0, 2θ 13.9, d 6.389, intensity 55.0
- hkl 0 0 2, 2θ 24.1, d 3.687, intensity 81.7
- hkl 1 0 0, 2θ 29.8, d 2.995, intensity 23.7
- hkl 0 5 1, 2θ 37.2, d 2.417, intensity 31.5
- hkl 0 1 3, 2θ 37.3, d 2.410, intensity 19.2
- hkl 1 3 1, 2θ 38.7, d 2.325, intensity 100.0
- hkl 1 2 2, 2θ 41.3, d 2.184, intensity 43.6
- hkl 0 3 3, 2θ 42.5, d 2.127, intensity 29.8
- hkl 1 5 1, 2θ 48.4, d 1.880, intensity 38.3
- hkl 1 3 5, 2θ 75.3, d 1.263, intensity 22.3